1.
Diffraction record for CsCo2H. The PXRD pattern is simulated, not measured: it uses a DFT-relaxed cell (PBE, Alexandria) and Cu Kα.
Lines closer than 0.1° are merged.

Cell and atoms:
a = 5.638 Å, b = 5.638 Å, c = 5.638 Å
α = 60.00°, β = 60.00°, γ = 60.00°
Atoms (fractional coordinates):
Cs 0.125 0.125 0.125
Cs 0.875 0.875 0.875
Co 0.000 0.500 0.500
Co 0.500 0.000 0.500
Co 0.500 0.500 0.000
Co 0.500 0.500 0.500
H 0.375 0.375 0.375
H 0.625 0.625 0.625

Principal peaks in the range 2θ = 10–90°, most intense first:
| Position (°2θ) | d_spacing | I_rel |
| --- | --- | --- |
| 37.41 | 2.404 | 100 |
| 31.74 | 2.819 | 58 |
| 60.31 | 1.535 | 32 |
| 66.31 | 1.410 | 24 |
| 56.54 | 1.628 | 22 |
| 39.13 | 2.302 | 19 |
| 78.69 | 1.216 | 11 |
| 75.39 | 1.261 | 9 |
| 79.78 | 1.202 | 6 |
| 19.28 | 4.604 | 6 |

***

2.
Diffraction record for NaPr7Tl4. The PXRD pattern is simulated, not measured: it uses a DFT-relaxed cell (PBE, Alexandria) and Cu Kα.
Lines closer than 0.1° are merged.

Cell and atoms:
a = 8.063 Å, b = 8.063 Å, c = 10.667 Å
α = 120.37°, β = 120.37°, γ = 43.43°
Atoms (fractional coordinates):
Na 0.000 0.000 0.000
Pr 0.062 0.062 0.391
Pr 0.201 0.201 0.882
Pr 0.277 0.277 0.344
Pr 0.500 0.500 0.000
Pr 0.723 0.723 0.656
Pr 0.799 0.799 0.118
Pr 0.938 0.938 0.609
Tl 0.312 0.312 0.670
Tl 0.441 0.441 0.249
Tl 0.559 0.559 0.751
Tl 0.688 0.688 0.330

Principal peaks in the range 2θ = 10–90°, most intense first:
| Position (°2θ) | d_spacing | I_rel |
| --- | --- | --- |
| 29.95 | 2.983 | 100 |
| 31.84 | 2.811 | 62 |
| 34.80 | 2.578 | 58 |
| 27.87 | 3.202 | 49 |
| 35.17 | 2.552 | 37 |
| 41.37 | 2.183 | 34 |
| 28.75 | 3.105 | 31 |
| 16.45 | 5.390 | 24 |
| 39.86 | 2.262 | 23 |
| 69.50 | 1.353 | 16 |

***

3.
Diffraction record for Pr12TlPt6. The PXRD pattern is simulated, not measured: it uses a DFT-relaxed cell (PBE, Alexandria) and Cu Kα.
Lines closer than 0.1° are merged.

Cell and atoms:
a = 9.042 Å, b = 9.042 Å, c = 9.042 Å
α = 109.47°, β = 109.47°, γ = 109.47°
Atoms (fractional coordinates):
Pr 0.123 0.304 0.819
Pr 0.181 0.484 0.304
Pr 0.181 0.877 0.696
Pr 0.304 0.181 0.484
Pr 0.304 0.819 0.123
Pr 0.484 0.304 0.181
Pr 0.516 0.696 0.819
Pr 0.696 0.181 0.877
Pr 0.696 0.819 0.516
Pr 0.819 0.123 0.304
Pr 0.819 0.516 0.696
Pr 0.877 0.696 0.181
Tl 0.000 0.000 0.000
Pt 0.134 0.500 0.634
Pt 0.366 0.866 0.500
Pt 0.500 0.366 0.866
Pt 0.500 0.634 0.134
Pt 0.634 0.134 0.500
Pt 0.866 0.500 0.366

Principal peaks in the range 2θ = 10–90°, most intense first:
| Position (°2θ) | d_spacing | I_rel |
| --- | --- | --- |
| 32.07 | 2.791 | 100 |
| 44.23 | 2.048 | 33 |
| 54.15 | 1.694 | 19 |
| 16.98 | 5.221 | 19 |
| 52.59 | 1.740 | 16 |
| 78.86 | 1.214 | 16 |
| 36.51 | 2.461 | 15 |
| 62.94 | 1.477 | 14 |
| 29.64 | 3.014 | 12 |
| 71.09 | 1.326 | 11 |